No. 1
BaPd3Pb: calculated X-ray diffraction stick pattern (a wavelength of 1.5418 Å), based on a PBE-relaxed structure.
Peak positions follow from Bragg's law for the DFT cell and can differ from measured ones.

The 8 most intense peaks (10° ≤ 2θ ≤ 80°), low angle first:
| two_theta | I_rel |
| --- | --- |
| 13.8 | 32 |
| 18.4 | 60 |
| 24.7 | 74 |
| 27.2 | 35 |
| 28.0 | 29 |
| 37.2 | 100 |
| 40.4 | 74 |
| 44.9 | 67 |

Atomic structure:
Lattice parameters (Å, degrees): 7.3633 7.3633 7.3633 131.27 85.79 114.45
Positions (direct):
Ba 0.3260 0.0760 0.2500
Ba 0.6740 0.9240 0.7500
Pd 0.1433 0.0000 0.6433
Pd 0.1433 0.5000 0.1433
Pd 0.2147 0.4647 0.7500
Pd 0.7853 0.5353 0.2500
Pd 0.8567 0.0000 0.3567
Pd 0.8567 0.5000 0.8567
Pb 0.0000 0.5000 0.5000
Pb 0.5000 0.5000 0.0000


No. 2
CdRuPt2: calculated X-ray diffraction stick pattern (a wavelength of 1.5418 Å), based on a PBE-relaxed structure.
Peak positions follow from Bragg's law for the DFT cell and can differ from measured ones.

The 8 most intense peaks (10° ≤ 2θ ≤ 80°), low angle first:
| two_theta | I_rel |
| --- | --- |
| 10.9 | 21 |
| 38.8 | 100 |
| 44.7 | 16 |
| 45.4 | 33 |
| 65.6 | 20 |
| 66.2 | 11 |
| 78.4 | 11 |
| 79.5 | 25 |

Atomic structure:
Lattice parameters (Å, degrees): 2.8247 2.8247 8.1139 90.00 90.00 90.00
Positions (direct):
Cd 0.0000 0.0000 0.0000
Ru 0.5000 0.5000 0.7343
Pt 0.0000 0.0000 0.5151
Pt 0.5000 0.5000 0.2653


What did the second record say?
CdRuPt2: calculated X-ray diffraction stick pattern (a wavelength of 1.5418 Å), based on a PBE-relaxed structure.
Peak positions follow from Bragg's law for the DFT cell and can differ from measured ones.

The 8 most intense peaks (10° ≤ 2θ ≤ 80°), low angle first:
| two_theta | I_rel |
| --- | --- |
| 10.9 | 21 |
| 38.8 | 100 |
| 44.7 | 16 |
| 45.4 | 33 |
| 65.6 | 20 |
| 66.2 | 11 |
| 78.4 | 11 |
| 79.5 | 25 |

Atomic structure:
Lattice parameters (Å, degrees): 2.8247 2.8247 8.1139 90.00 90.00 90.00
Positions (direct):
Cd 0.0000 0.0000 0.0000
Ru 0.5000 0.5000 0.7343
Pt 0.0000 0.0000 0.5151
Pt 0.5000 0.5000 0.2653